Structure and computed PXRD pattern of PrHoErAg (a cell relaxed with GGA-PBE; Cu Kα (weighted mean of Kα1 and Kα2)).
Kinematic intensities with the Lorentz-polarization factor, no thermal factor.

Principal peaks in the range 5° ≤ 2θ ≤ 70°, sorted by position:
2θ (°), I (rel.)
26.58, 8
31.17, 7
32.20, 100
34.85, 48
40.00, 9
47.44, 9
50.11, 17
55.66, 12
59.37, 8
60.82, 32

Structure:
```
PrHoErAg
1.0
3.641 0.000 0.000
0.000 3.641 0.000
0.000 0.000 8.609
Pr Ho Er Ag
1 1 1 1
Direct
0.000 0.000 0.000 Pr
0.500 0.500 0.705 Ho
0.500 0.500 0.294 Er
0.000 0.000 0.498 Ag
```

Structure and computed PXRD pattern of TbHoErAg (a cell relaxed with GGA-PBE; Cu Kα (weighted mean of Kα1 and Kα2)).
Kinematic intensities with the Lorentz-polarization factor, no thermal factor.

Principal peaks in the range 5° ≤ 2θ ≤ 70°, sorted by position:
2θ (°), I (rel.)
27.11, 7
32.38, 100
35.83, 43
40.83, 9
47.64, 7
51.58, 15
55.43, 15
58.32, 7
62.23, 30
67.78, 8

Structure:
```
TbHoErAg
1.0
3.544 0.000 0.000
0.000 3.544 0.000
0.000 0.000 8.841
Tb Ho Er Ag
1 1 1 1
Direct
0.000 0.000 0.000 Tb
0.500 0.500 0.713 Ho
0.500 0.500 0.286 Er
0.000 0.000 0.497 Ag
```

Structure and computed PXRD pattern of ErAgI4 (a cell relaxed with GGA-PBE; Cu Kα (weighted mean of Kα1 and Kα2)).
Kinematic intensities with the Lorentz-polarization factor, no thermal factor.

Principal peaks in the range 5° ≤ 2θ ≤ 70°, sorted by position:
2θ (°), I (rel.)
7.93, 100
14.83, 38
24.61, 11
24.84, 26
27.75, 26
28.79, 35
29.91, 10
38.38, 16
40.43, 24
52.08, 9

Structure:
```
ErAgI4
1.0
11.547 -3.101 0.000
11.547 3.101 0.000
-2.248 0.000 8.276
Er Ag I
2 2 8
Direct
0.185 0.185 0.080 Er
0.815 0.815 0.920 Er
0.174 0.174 0.498 Ag
0.826 0.826 0.502 Ag
0.081 0.081 0.204 I
0.112 0.112 0.744 I
0.282 0.282 0.392 I
0.300 0.300 0.930 I
0.700 0.700 0.070 I
0.718 0.718 0.608 I
0.888 0.888 0.256 I
0.919 0.919 0.796 I
```

Structure and computed PXRD pattern of Er4In3Ag (a cell relaxed with GGA-PBE; Cu Kα (weighted mean of Kα1 and Kα2)).
Kinematic intensities with the Lorentz-polarization factor, no thermal factor.

Principal peaks in the range 5° ≤ 2θ ≤ 70°, sorted by position:
2θ (°), I (rel.)
21.99, 2
25.16, 3
33.66, 100
35.88, 44
44.86, 10
51.66, 15
54.03, 2
58.73, 18
63.08, 32
69.22, 2

Structure:
```
Er4In3Ag
1.0
3.539 0.000 0.000
0.000 3.539 0.000
0.000 0.000 16.165
Er In Ag
4 3 1
Direct
0.000 0.000 0.113 Er
0.000 0.000 0.371 Er
0.000 0.000 0.629 Er
0.000 0.000 0.887 Er
0.500 0.500 0.241 In
0.500 0.500 0.500 In
0.500 0.500 0.759 In
0.500 0.500 0.000 Ag
```

Structure and computed PXRD pattern of Er4InAg2 (a cell relaxed with GGA-PBE; Cu Kα (weighted mean of Kα1 and Kα2)).
Kinematic intensities with the Lorentz-polarization factor, no thermal factor.

Principal peaks in the range 5° ≤ 2θ ≤ 70°, sorted by position:
2θ (°), I (rel.)
24.85, 22
27.20, 7
32.71, 14
35.10, 100
35.77, 83
50.98, 30
62.97, 18
63.40, 31
64.70, 9
68.40, 10

Structure:
```
Er4InAg2
1.0
2.557 1.476 8.126
-2.557 1.476 8.126
0.000 -2.952 8.126
Er In Ag
4 1 2
Direct
0.115 0.115 0.115 Er
0.369 0.369 0.369 Er
0.631 0.631 0.631 Er
0.885 0.885 0.885 Er
0.500 0.500 0.500 In
0.245 0.245 0.245 Ag
0.755 0.755 0.755 Ag
```

Structure and computed PXRD pattern of Er2In8Ag (a cell relaxed with GGA-PBE; Cu Kα (weighted mean of Kα1 and Kα2)).
Kinematic intensities with the Lorentz-polarization factor, no thermal factor.

Principal peaks in the range 5° ≤ 2θ ≤ 70°, sorted by position:
2θ (°), I (rel.)
30.48, 19
34.70, 100
36.73, 10
38.08, 47
44.42, 7
53.94, 13
54.95, 16
59.91, 11
66.64, 29
67.33, 11

Structure:
```
Er2In8Ag
1.0
4.726 0.000 0.000
0.000 4.726 0.000
0.000 0.000 12.235
Er In Ag
2 8 1
Direct
0.000 0.000 0.187 Er
0.000 0.000 0.813 Er
0.000 0.500 0.000 In
0.000 0.500 0.366 In
0.000 0.500 0.634 In
0.500 0.000 0.000 In
0.500 0.000 0.366 In
0.500 0.000 0.634 In
0.500 0.500 0.187 In
0.500 0.500 0.813 In
0.000 0.000 0.500 Ag
```

Structure and computed PXRD pattern of Er6InAg2 (a cell relaxed with GGA-PBE; Cu Kα (weighted mean of Kα1 and Kα2)).
Kinematic intensities with the Lorentz-polarization factor, no thermal factor.

Principal peaks in the range 5° ≤ 2θ ≤ 70°, sorted by position:
2θ (°), I (rel.)
31.21, 100
33.26, 55
34.03, 59
34.27, 51
35.15, 16
36.36, 42
38.01, 12
39.90, 16
57.54, 24
57.76, 15

Structure:
```
Er6InAg2
1.0
-4.854 4.942 5.106
4.854 -4.942 5.106
4.854 4.942 -5.106
Er In Ag
12 2 4
Direct
0.041 0.822 0.219 Er
0.243 0.540 0.297 Er
0.243 0.946 0.703 Er
0.274 0.317 0.591 Er
0.274 0.683 0.957 Er
0.397 0.178 0.219 Er
0.603 0.822 0.781 Er
0.726 0.317 0.043 Er
0.726 0.683 0.409 Er
0.757 0.054 0.297 Er
0.757 0.460 0.703 Er
0.959 0.178 0.781 Er
0.000 0.500 0.500 In
0.500 0.000 0.500 In
0.000 0.146 0.146 Ag
0.000 0.854 0.854 Ag
0.367 0.367 0.000 Ag
0.633 0.633 0.000 Ag
```

Structure and computed PXRD pattern of Er4InAg2 (a cell relaxed with GGA-PBE; Cu Kα (weighted mean of Kα1 and Kα2)).
Kinematic intensities with the Lorentz-polarization factor, no thermal factor.

Principal peaks in the range 5° ≤ 2θ ≤ 70°, sorted by position:
2θ (°), I (rel.)
24.32, 18
26.13, 54
30.47, 30
36.34, 100
38.22, 54
41.03, 14
45.31, 13
53.79, 31
65.39, 18
66.65, 25

Structure:
```
Er4InAg2
1.0
2.472 1.427 9.401
-2.472 1.427 9.401
0.000 -2.854 9.401
Er In Ag
4 1 2
Direct
0.121 0.121 0.121 Er
0.295 0.295 0.295 Er
0.705 0.705 0.705 Er
0.879 0.879 0.879 Er
0.500 0.500 0.500 In
0.400 0.400 0.400 Ag
0.600 0.600 0.600 Ag
```

Structure and computed PXRD pattern of LaErInAg (a cell relaxed with GGA-PBE; Cu Kα (weighted mean of Kα1 and Kα2)).
Kinematic intensities with the Lorentz-polarization factor, no thermal factor.

Principal peaks in the range 5° ≤ 2θ ≤ 70°, sorted by position:
2θ (°), I (rel.)
11.11, 6
33.14, 100
34.46, 48
41.96, 4
45.55, 8
49.53, 17
58.35, 16
60.90, 34
63.64, 3
69.55, 9

Structure:
```
LaErInAg
1.0
3.681 0.000 0.000
0.000 3.681 0.000
0.000 0.000 7.966
La Er In Ag
1 1 1 1
Direct
0.000 0.000 0.000 La
0.000 0.000 0.525 Er
0.500 0.500 0.278 In
0.500 0.500 0.723 Ag
```

Structure and computed PXRD pattern of ErInAgPb (a cell relaxed with GGA-PBE; Cu Kα (weighted mean of Kα1 and Kα2)).
Kinematic intensities with the Lorentz-polarization factor, no thermal factor.

Principal peaks in the range 5° ≤ 2θ ≤ 70°, sorted by position:
2θ (°), I (rel.)
33.86, 100
37.58, 19
39.68, 16
40.59, 15
55.80, 12
56.50, 11
58.06, 11
65.45, 15
68.31, 13
69.56, 12

Structure:
```
ErInAgPb
1.0
4.445 0.000 0.000
0.000 4.542 0.000
0.000 0.000 4.787
Er In Ag Pb
1 1 1 1
Direct
0.000 0.000 0.000 Er
0.500 0.000 0.500 In
0.000 0.500 0.500 Ag
0.500 0.500 0.000 Pb
```

Structure and computed PXRD pattern of Er2InAgSe4 (a cell relaxed with GGA-PBE; Cu Kα (weighted mean of Kα1 and Kα2)).
Kinematic intensities with the Lorentz-polarization factor, no thermal factor.

Principal peaks in the range 5° ≤ 2θ ≤ 70°, sorted by position:
2θ (°), I (rel.)
14.13, 28
22.09, 32
29.64, 49
31.47, 100
32.83, 16
36.32, 27
42.30, 18
43.36, 68
43.79, 31
63.29, 19

Structure:
```
Er2InAgSe4
1.0
2.067 -6.914 0.000
2.067 6.914 0.000
0.000 0.000 14.843
Er In Ag Se
4 2 2 8
Direct
0.130 0.870 0.569 Er
0.130 0.870 0.931 Er
0.870 0.130 0.069 Er
0.870 0.130 0.431 Er
0.377 0.623 0.750 In
0.623 0.377 0.250 In
0.334 0.666 0.250 Ag
0.666 0.334 0.750 Ag
0.048 0.952 0.750 Se
0.233 0.767 0.101 Se
0.233 0.767 0.399 Se
0.500 0.500 0.000 Se
0.500 0.500 0.500 Se
0.767 0.233 0.601 Se
0.767 0.233 0.899 Se
0.952 0.048 0.250 Se
```

Structure and computed PXRD pattern of TbEr2In2Ag2 (a cell relaxed with GGA-PBE; Cu Kα (weighted mean of Kα1 and Kα2)).
Kinematic intensities with the Lorentz-polarization factor, no thermal factor.

Principal peaks in the range 5° ≤ 2θ ≤ 70°, sorted by position:
2θ (°), I (rel.)
21.47, 17
31.87, 53
34.53, 82
37.16, 100
49.75, 16
51.63, 26
63.70, 16
65.31, 25
65.45, 28
67.00, 17

Structure:
```
TbEr2In2Ag2
1.0
2.419 1.397 8.827
-2.419 1.397 8.827
0.000 -2.794 8.827
Tb Er In Ag
1 2 2 2
Direct
0.000 0.000 0.000 Tb
0.127 0.127 0.127 Er
0.873 0.873 0.873 Er
0.259 0.259 0.259 In
0.741 0.741 0.741 In
0.399 0.399 0.399 Ag
0.601 0.601 0.601 Ag
```

Structure and computed PXRD pattern of Er5Tl2AgIr2 (a cell relaxed with GGA-PBE; Cu Kα (weighted mean of Kα1 and Kα2)).
Kinematic intensities with the Lorentz-polarization factor, no thermal factor.

Principal peaks in the range 5° ≤ 2θ ≤ 70°, sorted by position:
2θ (°), I (rel.)
31.32, 42
32.26, 22
34.05, 21
34.59, 100
37.11, 39
39.48, 15
50.54, 21
55.16, 14
60.65, 13
61.25, 13

Structure:
```
Er5Tl2AgIr2
1.0
11.775 0.000 0.000
0.000 11.775 0.000
0.000 0.000 3.614
Er Tl Ag Ir
10 4 2 4
Direct
0.000 0.500 0.000 Er
0.077 0.203 0.000 Er
0.203 0.923 0.000 Er
0.297 0.423 0.000 Er
0.423 0.703 0.000 Er
0.500 0.000 0.000 Er
0.577 0.297 0.000 Er
0.703 0.577 0.000 Er
0.797 0.077 0.000 Er
0.923 0.797 0.000 Er
0.172 0.672 0.500 Tl
0.328 0.172 0.500 Tl
0.672 0.828 0.500 Tl
0.828 0.328 0.500 Tl
0.000 0.000 0.500 Ag
0.500 0.500 0.500 Ag
0.133 0.367 0.500 Ir
0.367 0.867 0.500 Ir
0.633 0.133 0.500 Ir
0.867 0.633 0.500 Ir
```

Structure and computed PXRD pattern of KEr2AgO4 (a cell relaxed with GGA-PBE; Cu Kα (weighted mean of Kα1 and Kα2)).
Kinematic intensities with the Lorentz-polarization factor, no thermal factor.

Principal peaks in the range 5° ≤ 2θ ≤ 70°, sorted by position:
2θ (°), I (rel.)
16.56, 55
26.42, 100
30.18, 41
33.47, 38
34.01, 30
34.41, 71
34.81, 55
37.12, 41
39.73, 34
50.84, 37

Structure:
```
KEr2AgO4
1.0
1.763 -5.951 0.000
1.763 5.951 0.000
0.000 0.000 12.269
K Er Ag O
2 4 2 8
Direct
0.065 0.935 0.750 K
0.935 0.065 0.250 K
0.367 0.633 0.562 Er
0.367 0.633 0.938 Er
0.633 0.367 0.062 Er
0.633 0.367 0.438 Er
0.228 0.772 0.250 Ag
0.772 0.228 0.750 Ag
0.000 0.000 0.000 O
0.000 0.000 0.500 O
0.247 0.753 0.080 O
0.247 0.753 0.420 O
0.413 0.587 0.750 O
0.587 0.413 0.250 O
0.753 0.247 0.580 O
0.753 0.247 0.920 O
```